# LiTiVO4
Simulated PXRD pattern, Cu Kα, 1.54184 Å. Input: the GGA+U geometry in the Materials Project.
Lines closer than 0.1° are merged.

Structure:
a b c (Å): 6.030 6.030 10.423
angles (deg): 107.89 107.89 59.62
Sites, in units of the cell vectors:
Li  0.061  0.061  0.189
Li  0.439  0.439  0.311
Li  0.561  0.561  0.689
Li  0.939  0.939  0.811
Ti  0.000  0.000  0.500
Ti  0.250  0.250  0.750
Ti  0.500  0.500  0.000
Ti  0.750  0.750  0.250
V  0.000  0.500  0.000
V  0.000  0.500  0.500
V  0.500  0.000  0.000
V  0.500  0.000  0.500
O  0.093  0.652  0.378
O  0.126  0.126  0.395
O  0.145  0.145  0.876
O  0.152  0.593  0.878
O  0.348  0.907  0.622
O  0.354  0.354  0.624
O  0.374  0.374  0.105
O  0.407  0.848  0.122
O  0.593  0.152  0.878
O  0.626  0.626  0.895
O  0.646  0.646  0.376
O  0.652  0.093  0.378
O  0.848  0.407  0.122
O  0.855  0.855  0.124
O  0.874  0.874  0.605
O  0.907  0.348  0.622

Most intense lines, 10° ≤ 2θ ≤ 90°, by angle:
d [Å]	two_theta	intensity
4.910	18.07	100.0
4.874	18.20	30.9
2.584	34.71	14.7
2.555	35.13	20.4
2.541	35.32	18.5
2.148	42.06	27.0
2.109	42.88	50.9
1.628	56.54	8.7
1.507	61.52	15.7
1.503	61.73	15.5